This entry pairs a crystal structure of Pu6CuRh3 with its theoretical powder X-ray diffraction pattern. Radiation: λ = 1.5418 Å (Cu Kα). Structure: a PBE-relaxed structure.
Peak positions follow from Bragg's law for the DFT cell and can differ from measured ones.

Top 6 peaks for 5° ≤ 2θ ≤ 70°, in order of rising 2θ:
| 2θ/deg | I (rel.) | h k l |
| --- | --- | --- |
| 19.0 | 39 | 1 0 1 |
| 36.4 | 100 | 2 0 1 |
| 37.8 | 24 | 1 1 3 |
| 40.5 | 37 | 1 0 5 |
| 50.1 | 21 | 2 1 2 |
| 51.7 | 22 | 2 0 5 |

Structure:
Unit cell a=5.8179 b=5.8179 c=12.4010 alpha=90.00 beta=90.00 gamma=120.00
Space group P6_322 (No. 182)
One atom of each set of equivalent atoms:
1 Pu 0.1367 0.3677 0.3411
2 Cu 0.3333 0.6667 0.7500
3 Rh 0.0000 0.0000 0.0000
4 Rh 0.3333 0.6667 0.5487